# 1
For ErCoNiPb, the PBE geometry in Alexandria gives the computed PXRD pattern in this record (Cu Kα, 1.54184 Å).

Main lines, sorted by position (15° ≤ 2θ ≤ 90°):
2theta, Rel. int.
23.55, 1
27.26, 30
38.93, 100
46.00, 1
48.17, 9
56.23, 17
63.59, 12
70.50, 34
83.58, 11
89.96, 7

Atomic structure:
abc: 6.5439 6.5439 6.5439
angles: 90.00 90.00 90.00
Space group F-43m (No. 216)
One atom of each set of equivalent atoms:
Er 0.0000 0.0000 0.0000
Co 0.2500 0.2500 0.7500
Ni 0.2500 0.2500 0.2500
Pb 0.0000 0.0000 0.5000

# 2
For Er3NpCo8, the PBE geometry in Alexandria gives the computed PXRD pattern in this record (Cu Kα, 1.54184 Å).

Main lines, sorted by position (15° ≤ 2θ ≤ 90°):
2theta, Rel. int.
21.68, 22
35.77, 72
42.21, 100
44.19, 12
64.24, 20
64.36, 7
68.68, 29
75.72, 11
75.85, 11
86.74, 12

Atomic structure:
abc: 5.0244 5.0244 24.5599
angles: 90.00 90.00 120.00
Space group R3m (No. 160, hexagonal axes)
One atom of each set of equivalent atoms:
Er 0.0000 0.0000 0.0000
Er 0.0000 0.0000 0.1252
Er 0.0000 0.0000 0.5000
Np 0.0000 0.0000 0.6251
Co 0.0000 0.0000 0.3122
Co 0.0000 0.0000 0.8123
Co 0.0002 0.5001 0.5632
Co 0.1675 0.3349 0.3951

# 3
For YErCoOs, the PBE geometry in Alexandria gives the computed PXRD pattern in this record (Cu Kα, 1.54184 Å).

Main lines, sorted by position (15° ≤ 2θ ≤ 90°):
2theta, Rel. int.
22.86, 19
37.76, 100
44.60, 11
54.47, 17
59.83, 5
68.18, 35
72.96, 4
80.67, 11
85.20, 4

Atomic structure:
abc: 6.7378 6.7378 6.7378
angles: 90.00 90.00 90.00
Space group F-43m (No. 216)
One atom of each set of equivalent atoms:
Y 0.0000 0.0000 0.0000
Er 0.0000 0.0000 0.5000
Co 0.2500 0.2500 0.7500
Os 0.2500 0.2500 0.2500

# 4
For ErCo4P2, the PBE geometry in Alexandria gives the computed PXRD pattern in this record (Cu Kα, 1.54184 Å).

Main lines, sorted by position (15° ≤ 2θ ≤ 90°):
2theta, Rel. int.
25.31, 15
28.32, 21
38.34, 100
40.53, 45
44.57, 18
48.37, 20
51.88, 18
60.24, 15
67.85, 23
72.28, 26

Atomic structure:
abc: 7.0377 7.0377 3.5249
angles: 90.00 90.00 90.00
Space group P4_2/mnm (No. 136)
One atom of each set of equivalent atoms:
Er 0.0000 0.0000 0.0000
Co 0.0797 0.3377 0.5000
P 0.2246 0.7754 0.5000

# 5
For ErPaCo2, the PBE geometry in Alexandria gives the computed PXRD pattern in this record (Cu Kα, 1.54184 Å).

Main lines, sorted by position (15° ≤ 2θ ≤ 90°):
2theta, Rel. int.
27.78, 84
33.90, 100
34.12, 76
37.09, 48
37.28, 32
42.16, 52
43.57, 36
57.39, 27
57.95, 32
68.49, 27

Atomic structure:
abc: 5.1382 4.2869 7.1222
angles: 90.00 109.37 90.00
Space group P2_1/m (No. 11)
One atom of each set of equivalent atoms:
Er 0.2420 0.2500 0.4362
Pa 0.1971 0.2500 0.9093
Co 0.3105 0.7500 0.1493
Co 0.3386 0.7500 0.7616

# 6
For Er12Co6Pb, the PBE geometry in Alexandria gives the computed PXRD pattern in this record (Cu Kα, 1.54184 Å).

Main lines, sorted by position (15° ≤ 2θ ≤ 90°):
2theta, Rel. int.
29.47, 49
32.36, 59
35.03, 100
37.53, 22
48.43, 25
55.94, 37
59.45, 41
69.32, 22
86.08, 18
87.56, 18

Atomic structure:
abc: 9.5848 9.5848 9.5848
angles: 90.00 90.00 90.00
Space group Im-3 (No. 204)
One atom of each set of equivalent atoms:
Er 0.0000 0.1950 0.3038
Co 0.0000 0.3865 0.5000
Pb 0.0000 0.0000 0.0000

# 7
For Er4Co2Pb, the PBE geometry in Alexandria gives the computed PXRD pattern in this record (Cu Kα, 1.54184 Å).

Main lines, sorted by position (15° ≤ 2θ ≤ 90°):
2theta, Rel. int.
27.06, 24
29.36, 26
32.72, 67
33.08, 32
33.34, 49
33.66, 31
34.09, 100
35.49, 41
36.66, 23
41.99, 23

Atomic structure:
abc: 6.7932 6.9255 8.3122
angles: 108.40 107.87 104.05
Space group P1 (No. 1)
One atom of each set of equivalent atoms:
Er 0.0000 0.0000 0.0000
Er 0.0019 0.5046 0.0116
Er 0.1079 0.8697 0.4109
Er 0.3608 0.7866 0.8028
Er 0.5651 0.4943 0.2088
Er 0.5819 0.4352 0.6159
Er 0.7026 0.9646 0.6013
Er 0.9708 0.3236 0.3940
Co 0.3273 0.6005 0.4131
Co 0.6492 0.1868 0.9139
Co 0.7457 0.7899 0.1036
Co 0.9205 0.6930 0.5991
Pb 0.2475 0.2591 0.7859
Pb 0.4669 0.9812 0.2264

# 8
For ErCoPdPb, the PBE geometry in Alexandria gives the computed PXRD pattern in this record (Cu Kα, 1.54184 Å).

Main lines, sorted by position (15° ≤ 2θ ≤ 90°):
2theta, Rel. int.
22.95, 3
26.56, 17
37.92, 100
44.79, 2
46.89, 5
54.70, 17
61.82, 7
68.49, 35
81.05, 11
87.13, 4

Atomic structure:
abc: 6.7118 6.7118 6.7118
angles: 90.00 90.00 90.00
Space group F-43m (No. 216)
One atom of each set of equivalent atoms:
Er 0.0000 0.0000 0.0000
Co 0.2500 0.2500 0.7500
Pd 0.2500 0.2500 0.2500
Pb 0.0000 0.0000 0.5000

# 9
For Er12CoPd6, the PBE geometry in Alexandria gives the computed PXRD pattern in this record (Cu Kα, 1.54184 Å).

Main lines, sorted by position (15° ≤ 2θ ≤ 90°):
2theta, Rel. int.
23.39, 49
26.95, 87
29.05, 33
31.95, 62
34.05, 80
38.22, 96
38.75, 100
40.04, 26
55.56, 26
56.15, 28

Atomic structure:
abc: 12.2967 12.2967 11.6148
angles: 90.00 90.00 120.00
Space group R-3 (No. 148, hexagonal axes)
One atom of each set of equivalent atoms:
Er 0.0267 0.8169 0.3911
Er 0.0424 0.8468 0.8810
Co 0.0000 0.0000 0.0000
Pd 0.0442 0.7753 0.6446

# 10
For Er4CoPd, the PBE geometry in Alexandria gives the computed PXRD pattern in this record (Cu Kα, 1.54184 Å).

Main lines, sorted by position (15° ≤ 2θ ≤ 90°):
2theta, Rel. int.
31.03, 47
31.56, 89
32.62, 100
34.73, 67
36.64, 26
36.81, 35
37.73, 43
39.33, 65
40.55, 33
42.15, 36

Atomic structure:
abc: 8.7283 12.9983 6.0485
angles: 90.00 122.00 90.00
Space group C2/c (No. 15)
One atom of each set of equivalent atoms:
Er 0.1225 0.1767 0.0954
Er 0.2105 0.4373 0.2872
Co 0.0000 0.0017 0.7500
Pd 0.0000 0.3644 0.7500

# 11
For Er5Co2Pd2, the PBE geometry in Alexandria gives the computed PXRD pattern in this record (Cu Kα, 1.54184 Å).

Main lines, sorted by position (15° ≤ 2θ ≤ 90°):
2theta, Rel. int.
27.77, 24
28.38, 17
33.11, 43
34.56, 100
34.72, 24
35.31, 38
36.83, 45
40.12, 51
63.00, 16
74.29, 13

Atomic structure:
abc: 15.0038 7.1818 7.1955
angles: 90.00 90.00 90.00
Space group Cmce (No. 64)
One atom of each set of equivalent atoms:
Er 0.0000 0.0000 0.0000
Er 0.1323 0.1799 0.3212
Co 0.0000 0.1118 0.6106
Pd 0.2128 0.0000 0.0000

# 12
For ErCoPd, the PBE geometry in Alexandria gives the computed PXRD pattern in this record (Cu Kα, 1.54184 Å).

Main lines, sorted by position (15° ≤ 2θ ≤ 90°):
2theta, Rel. int.
19.34, 9
33.50, 31
36.26, 21
38.06, 43
39.25, 13
39.87, 100
55.01, 12
55.36, 13
70.39, 13
72.42, 12

Atomic structure:
abc: 4.5185 5.5035 8.3228
angles: 90.00 90.00 90.00
Space group Imma (No. 74)
One atom of each set of equivalent atoms:
Er 0.0000 0.2500 0.1198
Co 0.0000 0.2500 0.7946
Pd 0.0000 0.0000 0.5000

Repeat the ninth record exactly.
For Er12CoPd6, the PBE geometry in Alexandria gives the computed PXRD pattern in this record (Cu Kα, 1.54184 Å).

Main lines, sorted by position (15° ≤ 2θ ≤ 90°):
2theta, Rel. int.
23.39, 49
26.95, 87
29.05, 33
31.95, 62
34.05, 80
38.22, 96
38.75, 100
40.04, 26
55.56, 26
56.15, 28

Atomic structure:
abc: 12.2967 12.2967 11.6148
angles: 90.00 90.00 120.00
Space group R-3 (No. 148, hexagonal axes)
One atom of each set of equivalent atoms:
Er 0.0267 0.8169 0.3911
Er 0.0424 0.8468 0.8810
Co 0.0000 0.0000 0.0000
Pd 0.0442 0.7753 0.6446